# 1
# SmAs2Au
Simulated X-ray diffraction stick pattern, Cu Ka. Input: the GGA-PBE geometry in the Materials Project.

Crystal structure
a b c (Å): 20.602 4.091 4.108
angles (deg): 90.00 90.00 90.00
Space group Pnma (No. 62)
Symmetry-distinct sites (fractional):
Sm: 0.117 0.250 0.228 x4
As: 0.002 0.250 0.705 x4
As: 0.156 0.750 0.727 x4
Au: 0.250 0.250 0.723 x4

Peak list (12 most intense, 10° ≤ 2θ ≤ 90°, in order of falling intensity)
d (Å), Position (°2θ), I/Imax, hkl
2.526, 35.5, 100, 4 1 1
2.575, 34.8, 21, 8 0 0
2.045, 44.3, 17, 0 2 0
2.054, 44.1, 14, 0 0 2
1.255, 75.8, 12, 4 3 1
1.477, 62.9, 10, 12 1 1
1.602, 57.5, 10, 8 2 0
1.449, 64.3, 9, 0 2 2
1.606, 57.4, 9, 8 0 2
1.259, 75.5, 9, 4 1 3
1.263, 75.2, 8, 8 2 2
3.808, 23.4, 8, 2 1 0

=====

# 2
# SmAs2Au
Simulated X-ray diffraction stick pattern, Cu Ka. Input: the GGA-PBE geometry in the Materials Project.

Crystal structure
a b c (Å): 4.068 4.068 10.319
angles (deg): 90.00 90.00 90.00
Space group P4/nmm (No. 129, origin choice 2)
Symmetry-distinct sites (fractional):
Sm: 0.250 0.250 0.233 x2
As: 0.250 0.250 0.688 x2
As: 0.250 0.750 0.000 x2
Au: 0.250 0.750 0.500 x2

Peak list (12 most intense, 10° ≤ 2θ ≤ 90°, in order of falling intensity)
d (Å), Position (°2θ), I/Imax, hkl
2.512, 35.7, 100, 1 1 2
2.034, 44.5, 30, 2 0 0
1.248, 76.3, 22, 3 1 2
2.580, 34.8, 20, 0 0 4
1.597, 57.7, 19, 2 0 4
1.476, 63.0, 11, 1 1 6
1.438, 64.8, 10, 2 2 0
1.256, 75.7, 9, 2 2 4
3.785, 23.5, 8, 1 0 1
2.207, 40.9, 7, 1 1 3
2.771, 32.3, 7, 1 1 1
2.627, 34.1, 6, 1 0 3

=====

# 3
# SmAs2Au
Simulated X-ray diffraction stick pattern, Cu Ka. Input: the GGA-PBE geometry in the Materials Project.

Crystal structure
a b c (Å): 5.767 5.779 20.685
angles (deg): 90.00 90.00 90.00
Space group Cmce (No. 64)
Symmetry-distinct sites (fractional):
Sm: 0.000 0.235 0.117 x8
As: 0.000 0.234 0.343 x8
As: 0.224 0.000 0.500 x8
Au: 0.250 0.019 0.750 x8

Peak list (12 most intense, 10° ≤ 2θ ≤ 90°, in order of falling intensity)
d (Å), Position (°2θ), I/Imax, hkl
2.520, 35.6, 100, 2 0 4
2.041, 44.4, 29, 2 2 0
2.586, 34.7, 21, 0 0 8
1.602, 57.5, 18, 2 2 8
1.253, 75.9, 11, 2 4 4
1.252, 76.0, 10, 4 2 4
1.480, 62.8, 10, 2 0 12
3.797, 23.4, 8, 1 1 2
2.213, 40.8, 7, 2 0 6
2.634, 34.0, 7, 1 1 6
2.780, 32.2, 6, 2 0 2
3.204, 27.8, 6, 1 1 4

=====

# 4
# TbAs2Au
Simulated X-ray diffraction stick pattern, Cu Ka. Input: the GGA-PBE geometry in the Materials Project.

Crystal structure
a b c (Å): 5.684 5.703 20.620
angles (deg): 90.00 90.00 90.00
Space group Cmce (No. 64)
Symmetry-distinct sites (fractional):
Tb: 0.000 0.235 0.116 x8
As: 0.000 0.237 0.347 x8
As: 0.231 0.000 0.500 x8
Au: 0.250 0.053 0.750 x8

Peak list (12 most intense, 10° ≤ 2θ ≤ 90°, in order of falling intensity)
d (Å), Position (°2θ), I/Imax, hkl
2.492, 36.0, 100, 2 0 4
2.013, 45.0, 26, 2 2 0
2.578, 34.8, 24, 0 0 8
1.586, 58.1, 17, 2 2 8
1.471, 63.2, 10, 2 0 12
1.235, 77.3, 10, 4 2 4
3.750, 23.7, 9, 1 1 2
1.421, 65.7, 8, 4 0 0
2.171, 41.6, 6, 1 1 8
3.173, 28.1, 6, 1 1 4
2.614, 34.3, 6, 1 1 6
2.634, 34.0, 6, 0 2 3

=====

# 5
# BAs
Simulated X-ray diffraction stick pattern, Cu Ka. Input: the GGA-PBE geometry in the Materials Project.

Crystal structure
a b c (Å): 4.819 4.819 4.819
angles (deg): 90.00 90.00 90.00
Space group F-43m (No. 216)
Symmetry-distinct sites (fractional):
B: 0.000 0.000 0.000 x4
As: 0.250 0.250 0.750 x4

Peak list (7 most intense, 10° ≤ 2θ ≤ 90°, in order of falling intensity)
d (Å), Position (°2θ), I/Imax, hkl
2.782, 32.2, 100, 1 1 1
2.410, 37.3, 40, 2 0 0
1.704, 53.8, 40, 2 2 0
1.453, 64.1, 40, 3 1 1
1.106, 88.4, 17, 3 3 1
1.391, 67.3, 10, 2 2 2
1.205, 79.6, 6, 4 0 0

=====

# 6
# BAs
Simulated X-ray diffraction stick pattern, Cu Ka. Input: the GGA-PBE geometry in the Materials Project.

Crystal structure
a b c (Å): 3.3909 3.3909 5.6095
angles (deg): 90.00 90.00 120.00
Space group P6_3mc (No. 186)
Symmetry-distinct sites (fractional):
B: 0.3333 0.6667 0.0000 x2
As: 0.3333 0.6667 0.6256 x2

Peak list (12 most intense, 10° ≤ 2θ ≤ 90°, in order of falling intensity)
d (Å), Position (°2θ), I/Imax, hkl
2.602, 34.5, 100, 1 0 1
2.937, 30.4, 33, 1 0 0
2.805, 31.9, 32, 0 0 2
1.577, 58.5, 28, 1 0 3
1.451, 64.2, 25, 1 1 2
1.695, 54.1, 25, 1 1 0
2.028, 44.7, 19, 1 0 2
1.420, 65.7, 15, 2 0 1
1.155, 83.8, 10, 2 0 3
1.301, 72.7, 4, 2 0 2
1.468, 63.3, 4, 2 0 0
1.265, 75.1, 3, 1 0 4